Simulated powder diffraction line list
Compound: GaFe2Sn
Radiation: CuKα
Structure: DFT lattice parameters and positions (PBE)

Largest 10 diffraction maxima, sorted by position, 2θ = 10–90°:
two_theta, intensity
14.74, 2
25.67, 1
29.72, 8
33.33, 4
42.53, 100
52.75, 3
61.72, 16
63.84, 1
69.99, 4
77.84, 32

Cell and atoms:
Cell lengths 6.0115, 6.0115, 6.0115 Å; angles 90.00, 90.00, 90.00 degrees
Atoms (fractional coordinates):
Ga1 0.0000 0.0000 0.0000
Ga2 0.0000 0.0000 0.5000
Ga3 0.0000 0.5000 0.0000
Ga4 0.5000 0.0000 0.0000
Fe1 0.2417 0.2417 0.2417
Fe2 0.2417 0.2417 0.7583
Fe3 0.2417 0.7583 0.2417
Fe4 0.2417 0.7583 0.7583
Fe5 0.7583 0.2417 0.2417
Fe6 0.7583 0.2417 0.7583
Fe7 0.7583 0.7583 0.2417
Fe8 0.7583 0.7583 0.7583
Sn1 0.0000 0.5000 0.5000
Sn2 0.5000 0.0000 0.5000
Sn3 0.5000 0.5000 0.0000
Sn4 0.5000 0.5000 0.5000